For Mg5SnPd, the GGA-PBE geometry in Alexandria gives the computed powder X-ray diffraction pattern in this record (λ = 1.5418 Å (Cu Kα)).

Largest 10 diffraction maxima, by angle, 5° ≤ 2θ ≤ 70°:
22.98°, d = 3.870 Å, I 100; 24.25°, d = 3.671 Å, I 12; 27.70°, d = 3.220 Å, I 17; 37.14°, d = 2.421 Å, I 90; 39.58°, d = 2.277 Å, I 38; 41.91°, d = 2.156 Å, I 21; 46.26°, d = 1.962 Å, I 32; 57.22°, d = 1.610 Å, I 13; 59.01°, d = 1.565 Å, I 15; 65.30°, d = 1.429 Å, I 17

Structure:
```
data_Mg5SnPd
_chemical_formula_sum 'Mg5 Sn1 Pd1'
_cell_length_a 4.5537
_cell_length_b 4.5537
_cell_length_c 7.3413
_cell_angle_alpha 90.00
_cell_angle_beta 90.00
_cell_angle_gamma 90.00
_space_group_name_H-M_alt 'P 1'
_space_group_IT_number 1
loop_
_space_group_symop_operation_xyz
'x,y,z'
loop_
_atom_site_label
_atom_site_fract_x
_atom_site_fract_y
_atom_site_fract_z
Mg1 0.0000 0.0000 0.0000
Mg2 0.0000 0.5000 0.2526
Mg3 0.0000 0.5000 0.7474
Mg4 0.5000 0.0000 0.2526
Mg5 0.5000 0.0000 0.7474
Sn1 0.0000 0.0000 0.5000
Pd1 0.5000 0.5000 0.0000
```


For MgSn3Pd6, the GGA-PBE geometry in Alexandria gives the computed powder X-ray diffraction pattern in this record (λ = 1.5418 Å (Cu Kα)).

Largest 10 diffraction maxima, by angle, 5° ≤ 2θ ≤ 70°:
28.35°, d = 3.148 Å, I 8; 29.72°, d = 3.006 Å, I 9; 37.31°, d = 2.410 Å, I 23; 37.83°, d = 2.378 Å, I 7; 38.14°, d = 2.360 Å, I 8; 38.86°, d = 2.317 Å, I 100; 43.61°, d = 2.076 Å, I 27; 45.49°, d = 1.994 Å, I 15; 46.39°, d = 1.957 Å, I 9; 64.84°, d = 1.438 Å, I 11

Structure:
```
data_MgSn3Pd6
_chemical_formula_sum 'Mg2 Sn6 Pd12'
_cell_length_a 8.8863
_cell_length_b 4.1511
_cell_length_c 9.9860
_cell_angle_alpha 90.00
_cell_angle_beta 104.65
_cell_angle_gamma 90.00
_space_group_name_H-M_alt 'P 1'
_space_group_IT_number 1
loop_
_space_group_symop_operation_xyz
'x,y,z'
loop_
_atom_site_label
_atom_site_fract_x
_atom_site_fract_y
_atom_site_fract_z
Mg1 0.0367 0.2500 0.3972
Mg2 0.9633 0.7500 0.6028
Sn1 0.1604 0.2500 0.0458
Sn2 0.4138 0.7500 0.8570
Sn3 0.4576 0.2500 0.6079
Sn4 0.5424 0.7500 0.3921
Sn5 0.5862 0.2500 0.1430
Sn6 0.8396 0.7500 0.9542
Pd1 0.0934 0.7500 0.2159
Pd2 0.1237 0.7500 0.8705
Pd3 0.1866 0.2500 0.6859
Pd4 0.2520 0.7500 0.5042
Pd5 0.3244 0.2500 0.3251
Pd6 0.3795 0.7500 0.1296
Pd7 0.6205 0.2500 0.8704
Pd8 0.6756 0.7500 0.6749
Pd9 0.7480 0.2500 0.4958
Pd10 0.8134 0.7500 0.3141
Pd11 0.8763 0.2500 0.1295
Pd12 0.9066 0.2500 0.7841
```


For SrMg9Pd2, the GGA-PBE geometry in Alexandria gives the computed powder X-ray diffraction pattern in this record (λ = 1.5418 Å (Cu Kα)).

Largest 10 diffraction maxima, by angle, 5° ≤ 2θ ≤ 70°:
13.65°, d = 6.485 Å, I 37; 20.33°, d = 4.367 Å, I 100; 27.51°, d = 3.243 Å, I 32; 29.59°, d = 3.019 Å, I 70; 30.26°, d = 2.954 Å, I 35; 33.29°, d = 2.691 Å, I 49; 33.93°, d = 2.642 Å, I 31; 35.54°, d = 2.526 Å, I 38; 39.88°, d = 2.261 Å, I 41; 41.35°, d = 2.184 Å, I 71

Structure:
```
data_SrMg9Pd2
_chemical_formula_sum 'Sr2 Mg18 Pd4'
_cell_length_a 9.2118
_cell_length_b 9.2118
_cell_length_c 9.2118
_cell_angle_alpha 100.21
_cell_angle_beta 100.21
_cell_angle_gamma 130.19
_space_group_name_H-M_alt 'P 1'
_space_group_IT_number 1
loop_
_space_group_symop_operation_xyz
'x,y,z'
loop_
_atom_site_label
_atom_site_fract_x
_atom_site_fract_y
_atom_site_fract_z
Sr1 0.3750 0.6250 0.7500
Sr2 0.6250 0.3750 0.2500
Mg1 0.1250 0.8750 0.2500
Mg2 0.1422 0.5705 0.3254
Mg3 0.1422 0.8168 0.5717
Mg4 0.1832 0.2549 0.3254
Mg5 0.1832 0.8578 0.9283
Mg6 0.2549 0.1832 0.8254
Mg7 0.2549 0.4295 0.0717
Mg8 0.4295 0.2549 0.5717
Mg9 0.4295 0.8578 0.1746
Mg10 0.5705 0.1422 0.8254
Mg11 0.5705 0.7451 0.4283
Mg12 0.7451 0.5705 0.9283
Mg13 0.7451 0.8168 0.1746
Mg14 0.8168 0.1422 0.0717
Mg15 0.8168 0.7451 0.6746
Mg16 0.8578 0.1832 0.4283
Mg17 0.8578 0.4295 0.6746
Mg18 0.8750 0.1250 0.7500
Pd1 0.0000 0.0000 0.0000
Pd2 0.0000 0.0000 0.5000
Pd3 0.0000 0.5000 0.0000
Pd4 0.5000 0.0000 0.5000
```


For SrMgPd, the GGA-PBE geometry in Alexandria gives the computed powder X-ray diffraction pattern in this record (λ = 1.5418 Å (Cu Kα)).

Largest 10 diffraction maxima, by angle, 5° ≤ 2θ ≤ 70°:
16.81°, d = 5.273 Å, I 42; 24.62°, d = 3.616 Å, I 100; 31.16°, d = 2.870 Å, I 39; 35.22°, d = 2.548 Å, I 75; 36.16°, d = 2.484 Å, I 62; 37.90°, d = 2.374 Å, I 19; 38.68°, d = 2.328 Å, I 67; 40.47°, d = 2.229 Å, I 20; 48.47°, d = 1.878 Å, I 22; 55.36°, d = 1.659 Å, I 21

Structure:
```
data_SrMgPd
_chemical_formula_sum 'Sr2 Mg2 Pd2'
_cell_length_a 5.4044
_cell_length_b 4.9670
_cell_length_c 6.0858
_cell_angle_alpha 90.00
_cell_angle_beta 102.66
_cell_angle_gamma 90.00
_space_group_name_H-M_alt 'P 1'
_space_group_IT_number 1
loop_
_space_group_symop_operation_xyz
'x,y,z'
loop_
_atom_site_label
_atom_site_fract_x
_atom_site_fract_y
_atom_site_fract_z
Sr1 0.2160 0.2500 0.3913
Sr2 0.7840 0.7500 0.6087
Mg1 0.3402 0.7500 0.9991
Mg2 0.6598 0.2500 0.0009
Pd1 0.1244 0.2500 0.8789
Pd2 0.8756 0.7500 0.1211
```


For Sr2Mg3Pd4, the GGA-PBE geometry in Alexandria gives the computed powder X-ray diffraction pattern in this record (λ = 1.5418 Å (Cu Kα)).

Largest 10 diffraction maxima, by angle, 5° ≤ 2θ ≤ 70°:
24.36°, d = 3.654 Å, I 26; 24.65°, d = 3.611 Å, I 31; 32.86°, d = 2.726 Å, I 83; 33.52°, d = 2.673 Å, I 65; 36.77°, d = 2.444 Å, I 52; 37.78°, d = 2.381 Å, I 100; 38.56°, d = 2.335 Å, I 34; 40.15°, d = 2.246 Å, I 37; 47.43°, d = 1.917 Å, I 24; 66.85°, d = 1.399 Å, I 26

Structure:
```
data_Sr2Mg3Pd4
_chemical_formula_sum 'Sr4 Mg6 Pd8'
_cell_length_a 8.8473
_cell_length_b 8.8473
_cell_length_c 7.6723
_cell_angle_alpha 90.00
_cell_angle_beta 90.00
_cell_angle_gamma 139.85
_space_group_name_H-M_alt 'P 1'
_space_group_IT_number 1
loop_
_space_group_symop_operation_xyz
'x,y,z'
loop_
_atom_site_label
_atom_site_fract_x
_atom_site_fract_y
_atom_site_fract_z
Sr1 0.1044 0.8956 0.9132
Sr2 0.3956 0.6044 0.4132
Sr3 0.6044 0.3956 0.5868
Sr4 0.8956 0.1044 0.0868
Mg1 0.0000 0.0000 0.5000
Mg2 0.0213 0.4787 0.7500
Mg3 0.4787 0.0213 0.2500
Mg4 0.5000 0.5000 0.0000
Mg5 0.5213 0.9787 0.7500
Mg6 0.9787 0.5213 0.2500
Pd1 0.1718 0.8282 0.5180
Pd2 0.1832 0.3168 0.7500
Pd3 0.3168 0.1832 0.2500
Pd4 0.3282 0.6718 0.0180
Pd5 0.6718 0.3282 0.9820
Pd6 0.6832 0.8168 0.7500
Pd7 0.8168 0.6832 0.2500
Pd8 0.8282 0.1718 0.4820
```


For MgTaPd2, the GGA-PBE geometry in Alexandria gives the computed powder X-ray diffraction pattern in this record (λ = 1.5418 Å (Cu Kα)).

Largest 10 diffraction maxima, by angle, 5° ≤ 2θ ≤ 70°:
11.60°, d = 7.627 Å, I 52; 32.92°, d = 2.720 Å, I 23; 35.30°, d = 2.542 Å, I 6; 38.91°, d = 2.314 Å, I 100; 43.98°, d = 2.059 Å, I 35; 45.64°, d = 1.988 Å, I 8; 47.47°, d = 1.915 Å, I 6; 47.69°, d = 1.907 Å, I 14; 63.94°, d = 1.456 Å, I 11; 66.88°, d = 1.399 Å, I 20

Structure:
```
data_MgTaPd2
_chemical_formula_sum 'Mg1 Ta1 Pd2'
_cell_length_a 2.9119
_cell_length_b 2.9119
_cell_length_c 7.6273
_cell_angle_alpha 90.00
_cell_angle_beta 90.00
_cell_angle_gamma 90.00
_space_group_name_H-M_alt 'P 1'
_space_group_IT_number 1
loop_
_space_group_symop_operation_xyz
'x,y,z'
loop_
_atom_site_label
_atom_site_fract_x
_atom_site_fract_y
_atom_site_fract_z
Mg1 0.0000 0.0000 0.0000
Ta1 0.0000 0.0000 0.5000
Pd1 0.5000 0.5000 0.2449
Pd2 0.5000 0.5000 0.7551
```


For Tb3Mg5Pd2, the GGA-PBE geometry in Alexandria gives the computed powder X-ray diffraction pattern in this record (λ = 1.5418 Å (Cu Kα)).

Largest 10 diffraction maxima, by angle, 5° ≤ 2θ ≤ 70°:
10.03°, d = 8.817 Å, I 100; 20.14°, d = 4.409 Å, I 33; 29.76°, d = 3.002 Å, I 67; 30.41°, d = 2.939 Å, I 23; 31.49°, d = 2.841 Å, I 31; 32.14°, d = 2.785 Å, I 67; 36.25°, d = 2.478 Å, I 23; 38.56°, d = 2.335 Å, I 23; 40.16°, d = 2.246 Å, I 33; 42.41°, d = 2.131 Å, I 28

Structure:
```
data_Tb3Mg5Pd2
_chemical_formula_sum 'Tb6 Mg10 Pd4'
_cell_length_a 9.3739
_cell_length_b 9.3739
_cell_length_c 9.3739
_cell_angle_alpha 99.55
_cell_angle_beta 93.32
_cell_angle_gamma 140.91
_space_group_name_H-M_alt 'P 1'
_space_group_IT_number 1
loop_
_space_group_symop_operation_xyz
'x,y,z'
loop_
_atom_site_label
_atom_site_fract_x
_atom_site_fract_y
_atom_site_fract_z
Tb1 0.1625 0.2396 0.4021
Tb2 0.2500 0.2500 0.0000
Tb3 0.3375 0.7396 0.0771
Tb4 0.6625 0.2604 0.9229
Tb5 0.7500 0.7500 0.0000
Tb6 0.8375 0.7604 0.5979
Mg1 0.0196 0.7500 0.2696
Mg2 0.0836 0.6783 0.7619
Mg3 0.2500 0.7500 0.5000
Mg4 0.4164 0.1783 0.5947
Mg5 0.4804 0.7500 0.7304
Mg6 0.5196 0.2500 0.2696
Mg7 0.5836 0.8217 0.4053
Mg8 0.7500 0.2500 0.5000
Mg9 0.9164 0.3217 0.2381
Mg10 0.9804 0.2500 0.7304
Pd1 0.1485 0.8756 0.0240
Pd2 0.3515 0.3756 0.7271
Pd3 0.6485 0.6244 0.2729
Pd4 0.8515 0.1244 0.9760
```


For Tb12MgPd6, the GGA-PBE geometry in Alexandria gives the computed powder X-ray diffraction pattern in this record (λ = 1.5418 Å (Cu Kα)).

Largest 10 diffraction maxima, by angle, 5° ≤ 2θ ≤ 70°:
28.10°, d = 3.176 Å, I 16; 30.84°, d = 2.899 Å, I 21; 33.39°, d = 2.684 Å, I 100; 35.77°, d = 2.511 Å, I 12; 38.02°, d = 2.367 Å, I 14; 46.09°, d = 1.969 Å, I 18; 53.18°, d = 1.722 Å, I 23; 54.85°, d = 1.674 Å, I 15; 56.49°, d = 1.629 Å, I 28; 65.75°, d = 1.420 Å, I 14

Structure:
```
data_Tb12MgPd6
_chemical_formula_sum 'Tb12 Mg1 Pd6'
_cell_length_a 8.6968
_cell_length_b 8.6968
_cell_length_c 8.6968
_cell_angle_alpha 109.47
_cell_angle_beta 109.47
_cell_angle_gamma 109.47
_space_group_name_H-M_alt 'P 1'
_space_group_IT_number 1
loop_
_space_group_symop_operation_xyz
'x,y,z'
loop_
_atom_site_label
_atom_site_fract_x
_atom_site_fract_y
_atom_site_fract_z
Tb1 0.1152 0.8166 0.2986
Tb2 0.1834 0.2986 0.4820
Tb3 0.1834 0.7014 0.8848
Tb4 0.2986 0.1152 0.8166
Tb5 0.2986 0.4820 0.1834
Tb6 0.4820 0.1834 0.2986
Tb7 0.5180 0.8166 0.7014
Tb8 0.7014 0.5180 0.8166
Tb9 0.7014 0.8848 0.1834
Tb10 0.8166 0.2986 0.1152
Tb11 0.8166 0.7014 0.5180
Tb12 0.8848 0.1834 0.7014
Mg1 0.0000 0.0000 0.0000
Pd1 0.1356 0.6356 0.5000
Pd2 0.3644 0.5000 0.8644
Pd3 0.5000 0.1356 0.6356
Pd4 0.5000 0.8644 0.3644
Pd5 0.6356 0.5000 0.1356
Pd6 0.8644 0.3644 0.5000
```


For TbMg4Pd, the GGA-PBE geometry in Alexandria gives the computed powder X-ray diffraction pattern in this record (λ = 1.5418 Å (Cu Kα)).

Largest 10 diffraction maxima, by angle, 5° ≤ 2θ ≤ 70°:
20.07°, d = 4.424 Å, I 89; 21.70°, d = 4.095 Å, I 66; 25.82°, d = 3.451 Å, I 59; 29.73°, d = 3.005 Å, I 84; 32.09°, d = 2.789 Å, I 58; 33.97°, d = 2.639 Å, I 100; 37.40°, d = 2.405 Å, I 46; 38.86°, d = 2.318 Å, I 31; 43.65°, d = 2.074 Å, I 35; 44.94°, d = 2.017 Å, I 31

Structure:
```
data_TbMg4Pd
_chemical_formula_sum 'Tb2 Mg8 Pd2'
_cell_length_a 8.8475
_cell_length_b 4.0948
_cell_length_c 7.4960
_cell_angle_alpha 90.00
_cell_angle_beta 90.00
_cell_angle_gamma 90.00
_space_group_name_H-M_alt 'P 1'
_space_group_IT_number 1
loop_
_space_group_symop_operation_xyz
'x,y,z'
loop_
_atom_site_label
_atom_site_fract_x
_atom_site_fract_y
_atom_site_fract_z
Tb1 0.2500 0.0000 0.0964
Tb2 0.7500 0.0000 0.9036
Mg1 0.0000 0.0000 0.5000
Mg2 0.0578 0.5000 0.8078
Mg3 0.2500 0.5000 0.4490
Mg4 0.4422 0.5000 0.8078
Mg5 0.5000 0.0000 0.5000
Mg6 0.5578 0.5000 0.1922
Mg7 0.7500 0.5000 0.5510
Mg8 0.9422 0.5000 0.1922
Pd1 0.2500 0.0000 0.7056
Pd2 0.7500 0.0000 0.2944
```


For TbMgTlPd, the GGA-PBE geometry in Alexandria gives the computed powder X-ray diffraction pattern in this record (λ = 1.5418 Å (Cu Kα)).

Largest 10 diffraction maxima, by angle, 5° ≤ 2θ ≤ 70°:
21.80°, d = 4.077 Å, I 25; 25.22°, d = 3.531 Å, I 8; 35.97°, d = 2.497 Å, I 100; 42.46°, d = 2.129 Å, I 14; 44.44°, d = 2.039 Å, I 2; 51.78°, d = 1.765 Å, I 18; 56.83°, d = 1.620 Å, I 6; 58.45°, d = 1.579 Å, I 3; 64.66°, d = 1.441 Å, I 36; 69.12°, d = 1.359 Å, I 4

Structure:
```
data_TbMgTlPd
_chemical_formula_sum 'Tb1 Mg1 Tl1 Pd1'
_cell_length_a 4.9933
_cell_length_b 4.9933
_cell_length_c 4.9933
_cell_angle_alpha 60.00
_cell_angle_beta 60.00
_cell_angle_gamma 60.00
_space_group_name_H-M_alt 'P 1'
_space_group_IT_number 1
loop_
_space_group_symop_operation_xyz
'x,y,z'
loop_
_atom_site_label
_atom_site_fract_x
_atom_site_fract_y
_atom_site_fract_z
Tb1 0.0000 0.0000 0.0000
Mg1 0.5000 0.5000 0.5000
Tl1 0.7500 0.7500 0.7500
Pd1 0.2500 0.2500 0.2500
```


For TbTmMg2Pd4, the GGA-PBE geometry in Alexandria gives the computed powder X-ray diffraction pattern in this record (λ = 1.5418 Å (Cu Kα)).

Largest 10 diffraction maxima, by angle, 5° ≤ 2θ ≤ 70°:
22.88°, d = 3.886 Å, I 27; 26.48°, d = 3.366 Å, I 1; 37.80°, d = 2.380 Å, I 100; 44.63°, d = 2.030 Å, I 11; 44.70°, d = 2.028 Å, I 4; 54.53°, d = 1.683 Å, I 17; 59.83°, d = 1.546 Å, I 3; 59.96°, d = 1.543 Å, I 3; 68.11°, d = 1.377 Å, I 9; 68.31°, d = 1.373 Å, I 26

Structure:
```
data_TbTmMg2Pd4
_chemical_formula_sum 'Tb1 Tm1 Mg2 Pd4'
_cell_length_a 8.2599
_cell_length_b 8.2599
_cell_length_c 8.2599
_cell_angle_alpha 33.45
_cell_angle_beta 33.45
_cell_angle_gamma 33.45
_space_group_name_H-M_alt 'P 1'
_space_group_IT_number 1
loop_
_space_group_symop_operation_xyz
'x,y,z'
loop_
_atom_site_label
_atom_site_fract_x
_atom_site_fract_y
_atom_site_fract_z
Tb1 0.0000 0.0000 0.0000
Tm1 0.5000 0.5000 0.5000
Mg1 0.2493 0.2493 0.2493
Mg2 0.7507 0.7507 0.7507
Pd1 0.1258 0.1258 0.1258
Pd2 0.3769 0.3769 0.3769
Pd3 0.6231 0.6231 0.6231
Pd4 0.8742 0.8742 0.8742
```


For MgTcPd6, the GGA-PBE geometry in Alexandria gives the computed powder X-ray diffraction pattern in this record (λ = 1.5418 Å (Cu Kα)).

Largest 10 diffraction maxima, by angle, 5° ≤ 2θ ≤ 70°:
11.17°, d = 7.923 Å, I 8; 22.57°, d = 3.940 Å, I 3; 25.25°, d = 3.528 Å, I 3; 32.07°, d = 2.791 Å, I 4; 39.55°, d = 2.279 Å, I 100; 45.81°, d = 1.981 Å, I 16; 46.08°, d = 1.970 Å, I 32; 47.43°, d = 1.917 Å, I 2; 67.00°, d = 1.397 Å, I 20; 67.21°, d = 1.393 Å, I 10

Structure:
```
data_MgTcPd6
_chemical_formula_sum 'Mg1 Tc1 Pd6'
_cell_length_a 3.9397
_cell_length_b 3.9397
_cell_length_c 7.9234
_cell_angle_alpha 90.00
_cell_angle_beta 90.00
_cell_angle_gamma 90.00
_space_group_name_H-M_alt 'P 1'
_space_group_IT_number 1
loop_
_space_group_symop_operation_xyz
'x,y,z'
loop_
_atom_site_label
_atom_site_fract_x
_atom_site_fract_y
_atom_site_fract_z
Mg1 0.0000 0.0000 0.0000
Tc1 0.0000 0.0000 0.5000
Pd1 0.0000 0.5000 0.2578
Pd2 0.0000 0.5000 0.7422
Pd3 0.5000 0.0000 0.2578
Pd4 0.5000 0.0000 0.7422
Pd5 0.5000 0.5000 0.0000
Pd6 0.5000 0.5000 0.5000
```